Record 1
This entry pairs a crystal structure of Y5Tl4Ir with its calculated X-ray powder pattern. Radiation: CuKα. Structure: a GGA-PBE-relaxed structure.
No peak broadening, texture or thermal motion is included.

Atomic structure:
Cell: 3.5434 3.5434 20.6862 Å, 90.00 90.00 90.00°
Space group P4/mmm (No. 123)
Asymmetric unit:
Y: 0.0000 0.0000 0.0000 (multiplicity 1)
Y: 0.0000 0.0000 0.2087 (multiplicity 2)
Y: 0.0000 0.0000 0.4205 (multiplicity 2)
Tl: 0.5000 0.5000 0.1041 (multiplicity 2)
Tl: 0.5000 0.5000 0.3114 (multiplicity 2)
Ir: 0.5000 0.5000 0.5000 (multiplicity 1)

Main lines, in order of falling intensity (15° ≤ 2θ ≤ 90°):
2theta	I/Imax
33.29	100
35.84	45
62.79	32
51.59	16
57.80	15
25.13	15

Record 2
This entry pairs a crystal structure of Li3PuTl2F12 with its calculated X-ray powder pattern. Radiation: CuKα. Structure: a GGA-PBE-relaxed structure.
No peak broadening, texture or thermal motion is included.

Atomic structure:
Cell: 6.6077 6.6077 24.1557 Å, 90.00 90.00 120.00°
Space group R-3m (No. 166, hexagonal axes)
Asymmetric unit:
Li: 0.0000 0.5000 0.0000 (multiplicity 9)
Pu: 0.0000 0.0000 0.5000 (multiplicity 3)
Tl: 0.0000 0.0000 0.0697 (multiplicity 6)
F: 0.0381 0.5191 0.3656 (multiplicity 18)
F: 0.0437 0.5218 0.1170 (multiplicity 18)

Main lines, in order of falling intensity (15° ≤ 2θ ≤ 90°):
2theta	I/Imax
17.15	100
26.99	45
24.11	44
30.24	38
49.75	25
43.44	24

Record 3
This entry pairs a crystal structure of CaTmF5 with its calculated X-ray powder pattern. Radiation: CuKα. Structure: a GGA-PBE-relaxed structure.
No peak broadening, texture or thermal motion is included.

Atomic structure:
Cell: 7.2791 6.7432 7.5108 Å, 90.00 92.61 90.00°
Space group C2/c (No. 15)
Asymmetric unit:
Ca: 0.0000 0.0000 0.0000 (multiplicity 4)
Tm: 0.0000 0.4826 0.2500 (multiplicity 4)
F: 0.0000 0.1890 0.7500 (multiplicity 4)
F: 0.1527 0.2178 0.1798 (multiplicity 8)
F: 0.1644 0.4344 0.5041 (multiplicity 8)

Main lines, in order of falling intensity (15° ≤ 2θ ≤ 90°):
2theta	I/Imax
17.94	100
29.44	61
24.48	57
30.35	52
26.44	39
36.34	38

Record 4
This entry pairs a crystal structure of Sr2Cd6Pb3 with its calculated X-ray powder pattern. Radiation: CuKα. Structure: a GGA-PBE-relaxed structure.
No peak broadening, texture or thermal motion is included.

Atomic structure:
Cell: 8.6886 15.5886 4.8709 Å, 90.00 90.00 90.00°
Space group Cmmm (No. 65)
Asymmetric unit:
Sr: 0.2320 0.0000 0.0000 (multiplicity 4)
Cd: 0.0000 0.0985 0.5000 (multiplicity 4)
Cd: 0.1808 0.3332 0.5000 (multiplicity 8)
Pb: 0.0000 0.2316 0.0000 (multiplicity 4)
Pb: 0.0000 0.5000 0.5000 (multiplicity 2)

Main lines, in order of falling intensity (15° ≤ 2θ ≤ 90°):
2theta	I/Imax
29.85	100
35.72	38
36.91	31
29.35	29
35.48	26
52.13	17

Record 5
This entry pairs a crystal structure of TiNb4In with its calculated X-ray powder pattern. Radiation: CuKα. Structure: a GGA-PBE-relaxed structure.
No peak broadening, texture or thermal motion is included.

Atomic structure:
Cell: 4.6332 13.8550 3.4439 Å, 90.00 90.00 90.00°
Space group Cmmm (No. 65)
Asymmetric unit:
Ti: 0.0000 0.0000 0.0000 (multiplicity 2)
Nb: 0.0000 0.1620 0.5000 (multiplicity 4)
Nb: 0.0000 0.3242 0.0000 (multiplicity 4)
In: 0.0000 0.5000 0.5000 (multiplicity 2)

Main lines, in order of falling intensity (15° ≤ 2θ ≤ 90°):
2theta	I/Imax
37.94	100
38.88	24
39.01	22
67.86	17
69.77	16
56.25	15

Record 6
This entry pairs a crystal structure of Cd4InAu4 with its calculated X-ray powder pattern. Radiation: CuKα. Structure: a GGA-PBE-relaxed structure.
No peak broadening, texture or thermal motion is included.

Atomic structure:
Cell: 8.9847 8.9847 5.5066 Å, 90.00 90.00 90.00°
Space group P4_2/n (No. 86, origin choice 2)
Asymmetric unit:
Cd: 0.0831 0.6562 0.1522 (multiplicity 8)
In: 0.2500 0.2500 0.2500 (multiplicity 2)
Au: 0.0288 0.6211 0.6564 (multiplicity 8)

Main lines, in order of falling intensity (15° ≤ 2θ ≤ 90°):
2theta	I/Imax
31.49	100
39.69	55
44.72	44
34.06	41
49.32	29
45.13	29

Record 7
This entry pairs a crystal structure of Li6Nd2Au3 with its calculated X-ray powder pattern. Radiation: CuKα. Structure: a GGA-PBE-relaxed structure.
No peak broadening, texture or thermal motion is included.

Atomic structure:
Cell: 8.0549 8.0549 4.0719 Å, 90.00 90.00 120.00°
Space group P-62m (No. 189)
Asymmetric unit:
Li: 0.0000 0.2624 0.0000 (multiplicity 3)
Li: 0.0000 0.7954 0.5000 (multiplicity 3)
Nd: 0.3333 0.6667 0.5000 (multiplicity 2)
Au: 0.0000 0.5949 0.0000 (multiplicity 3)

Main lines, in order of falling intensity (15° ≤ 2θ ≤ 90°):
2theta	I/Imax
31.24	100
33.84	43
22.07	42
46.96	27
52.36	22
38.73	21

Record 8
This entry pairs a crystal structure of PrTmSn2 with its calculated X-ray powder pattern. Radiation: CuKα. Structure: a GGA-PBE-relaxed structure.
No peak broadening, texture or thermal motion is included.

Atomic structure:
Cell: 4.3384 6.2282 8.5228 Å, 90.00 90.00 90.00°
Space group Pmc2_1 (No. 26)
Asymmetric unit:
Pr: 0.0000 0.1290 0.0000 (multiplicity 2)
Tm: 0.5000 0.3747 0.6347 (multiplicity 2)
Sn: 0.0000 0.4036 0.3605 (multiplicity 2)
Sn: 0.5000 0.0921 0.2744 (multiplicity 2)

Main lines, in order of falling intensity (15° ≤ 2θ ≤ 90°):
2theta	I/Imax
32.78	100
37.07	86
29.38	85
30.56	70
27.15	45
34.71	40

Repeat the first record exactly.
This entry pairs a crystal structure of Y5Tl4Ir with its calculated X-ray powder pattern. Radiation: CuKα. Structure: a GGA-PBE-relaxed structure.
No peak broadening, texture or thermal motion is included.

Atomic structure:
Cell: 3.5434 3.5434 20.6862 Å, 90.00 90.00 90.00°
Space group P4/mmm (No. 123)
Asymmetric unit:
Y: 0.0000 0.0000 0.0000 (multiplicity 1)
Y: 0.0000 0.0000 0.2087 (multiplicity 2)
Y: 0.0000 0.0000 0.4205 (multiplicity 2)
Tl: 0.5000 0.5000 0.1041 (multiplicity 2)
Tl: 0.5000 0.5000 0.3114 (multiplicity 2)
Ir: 0.5000 0.5000 0.5000 (multiplicity 1)

Main lines, in order of falling intensity (15° ≤ 2θ ≤ 90°):
2theta	I/Imax
33.29	100
35.84	45
62.79	32
51.59	16
57.80	15
25.13	15